Structure and calculated PXRD pattern of AcTb2PmNd4 (a DFT-relaxed cell (GGA-PBE, Alexandria); copper Kα).
Intensities are scaled so that the largest is 100.

The 6 most intense peaks (2θ = 10–90°), low angle first:
h k l	2θ/deg	I_rel
1 1 2	29.66	100
2 0 -4	34.28	17
4 0 0	34.43	34
6 0 -4	49.38	24
5 1 -6	58.57	15
1 3 2	58.77	29

Cell and atoms:
```
data_AcTb2PmNd4
_chemical_formula_sum 'Ac2 Tb4 Pm2 Nd8'
_space_group_name_H-M_alt 'C 1 2/m 1'
_space_group_IT_number 12
_cell_length_a 11.6543
_cell_length_b 5.2116
_cell_length_c 10.4627
_cell_angle_alpha 90.00
_cell_angle_beta 116.69
_cell_angle_gamma 90.00
loop_
_space_group_symop_operation_xyz
'x,y,z'
'-x,-y,-z'
'-x,y,-z'
'x,-y,z'
'x+1/2,y+1/2,z'
'-x+1/2,-y+1/2,-z'
'-x+1/2,y+1/2,-z'
'x+1/2,-y+1/2,z'
loop_
_atom_site_label
_atom_site_type_symbol
_atom_site_fract_x
_atom_site_fract_y
_atom_site_fract_z
Ac1 Ac 0.0000 0.0000 0.0000
Tb1 Tb 0.0010 0.5000 0.7447
Pm1 Pm 0.0000 0.0000 0.5000
Nd1 Nd 0.2478 0.0000 0.8702
Nd2 Nd 0.2489 0.5000 0.6220
```